For MgZr7Tl3, a PBE-relaxed structure gives the simulated powder XRD pattern in this record (Cu Kα).

Most intense lines, 10° ≤ 2θ ≤ 80°, by angle:
- 12.4 deg, I = 46
- 25.8 deg, I = 41
- 34.1 deg, I = 64
- 34.7 deg, I = 35
- 36.1 deg, I = 100
- 36.4 deg, I = 37
- 36.5 deg, I = 51
- 36.7 deg, I = 50
- 49.5 deg, I = 26
- 68.6 deg, I = 25

Cell and atoms:
```
MgZr7Tl3
1.0
5.5821 -5.1737 0.0000
5.5821 5.1737 0.0000
-2.4506 0.0000 4.6446
Mg Zr Tl
1 7 3
direct
0.0000 0.0000 0.0000
0.0000 0.0000 0.5000
0.0874 0.5008 0.7939
0.2981 0.2981 0.3004
0.4992 0.9126 0.2061
0.5008 0.0874 0.7939
0.7019 0.7019 0.6996
0.9126 0.4992 0.2061
0.2796 0.7204 0.5000
0.5000 0.5000 0.0000
0.7204 0.2796 0.5000
```

---

For Mg3HIr3, a PBE-relaxed structure gives the simulated powder XRD pattern in this record (Cu Kα).

Most intense lines, 10° ≤ 2θ ≤ 80°, by angle:
- 20.4 deg, I = 65
- 35.5 deg, I = 58
- 41.3 deg, I = 100
- 41.6 deg, I = 19
- 55.8 deg, I = 32
- 63.7 deg, I = 15
- 67.7 deg, I = 15
- 75.7 deg, I = 17
- 78.8 deg, I = 15
- 79.0 deg, I = 17

Cell and atoms:
```
Mg3HIr3
1.0
2.5295 1.4604 4.3443
-2.5295 1.4604 4.3443
0.0000 -2.9208 4.3443
Mg H Ir
3 1 3
direct
0.0011 0.3366 0.6623
0.3366 0.6623 0.0011
0.6623 0.0011 0.3366
0.1250 0.1250 0.1250
0.1660 0.8215 0.5156
0.5156 0.1660 0.8215
0.8215 0.5156 0.1660
```

---

For Ce2SbAs2N2, a PBE-relaxed structure gives the simulated powder XRD pattern in this record (Cu Kα).

Most intense lines, 10° ≤ 2θ ≤ 80°, by angle:
- 27.3 deg, I = 15
- 28.0 deg, I = 48
- 30.5 deg, I = 100
- 34.2 deg, I = 47
- 34.3 deg, I = 23
- 44.3 deg, I = 15
- 48.0 deg, I = 39
- 56.8 deg, I = 22
- 57.9 deg, I = 16
- 60.3 deg, I = 35

Cell and atoms:
```
Ce2SbAs2N2
1.0
3.7910 0.0000 0.0000
-1.8955 3.2831 0.0000
0.0000 0.0000 13.0595
Ce Sb As N
2 1 2 2
direct
0.3333 0.6667 0.2743
0.6667 0.3333 0.7257
0.0000 0.0000 0.5000
0.0000 0.0000 0.0851
0.0000 0.0000 0.9149
0.3333 0.6667 0.7177
0.6667 0.3333 0.2823
```

---

For Cs2Hg5Au3, a PBE-relaxed structure gives the simulated powder XRD pattern in this record (Cu Kα).

Most intense lines, 10° ≤ 2θ ≤ 80°, by angle:
- 15.3 deg, I = 26
- 28.5 deg, I = 100
- 28.7 deg, I = 43
- 34.0 deg, I = 96
- 35.4 deg, I = 23
- 39.4 deg, I = 48
- 45.0 deg, I = 25
- 48.8 deg, I = 35
- 57.5 deg, I = 28
- 64.5 deg, I = 25

Cell and atoms:
```
Cs2Hg5Au3
1.0
5.2761 0.0000 0.0000
0.0000 5.2761 0.0000
0.0000 0.0000 11.5686
Cs Hg Au
2 5 3
direct
0.0000 0.5000 0.2322
0.5000 0.0000 0.7678
0.0000 0.0000 0.5000
0.0000 0.5000 0.6576
0.5000 0.0000 0.3424
0.5000 0.5000 0.0000
0.5000 0.5000 0.5000
0.0000 0.0000 0.0000
0.0000 0.5000 0.9056
0.5000 0.0000 0.0944
```

---

For LaEr3Tm5, a PBE-relaxed structure gives the simulated powder XRD pattern in this record (Cu Kα).

Most intense lines, 10° ≤ 2θ ≤ 80°, by angle:
- 28.8 deg, I = 54
- 29.9 deg, I = 40
- 30.7 deg, I = 100
- 31.7 deg, I = 46
- 32.2 deg, I = 84
- 32.4 deg, I = 96
- 36.5 deg, I = 29
- 38.4 deg, I = 23
- 43.4 deg, I = 27
- 58.7 deg, I = 23

Cell and atoms:
```
LaEr3Tm5
1.0
9.5225 -2.9840 0.0000
9.5225 2.9840 0.0000
-4.3936 0.0000 10.2039
La Er Tm
2 6 10
direct
0.1440 0.8560 0.7500
0.8560 0.1440 0.2500
0.0000 0.0000 0.0000
0.0000 0.0000 0.5000
0.0549 0.5888 0.6375
0.4112 0.9451 0.8625
0.5888 0.0549 0.1375
0.9451 0.4112 0.3625
0.0835 0.5750 0.9695
0.0938 0.5793 0.3062
0.3668 0.6332 0.2500
0.4207 0.9062 0.1938
0.4250 0.9165 0.5305
0.5750 0.0835 0.4695
0.5793 0.0938 0.8062
0.6332 0.3668 0.7500
0.9062 0.4207 0.6938
0.9165 0.4250 0.0305
```

---

For V2Cr3Ga2, a PBE-relaxed structure gives the simulated powder XRD pattern in this record (Cu Kα).

Most intense lines, 10° ≤ 2θ ≤ 80°, by angle:
- 25.2 deg, I = 4
- 35.2 deg, I = 4
- 43.1 deg, I = 100
- 43.6 deg, I = 100
- 47.4 deg, I = 3
- 62.8 deg, I = 10
- 63.0 deg, I = 20
- 78.6 deg, I = 13
- 79.7 deg, I = 28
- 79.9 deg, I = 5

Cell and atoms:
```
V2Cr3Ga2
1.0
3.6003 -2.0755 0.0000
3.6003 2.0755 0.0000
-2.3903 0.0000 6.0385
V Cr Ga
2 3 2
direct
0.2134 0.2134 0.1391
0.7866 0.7866 0.8609
0.3482 0.3482 0.5449
0.5000 0.5000 0.0000
0.6518 0.6518 0.4551
0.0708 0.0708 0.7136
0.9292 0.9292 0.2864
```

---

For NaPaGe2O7, a PBE-relaxed structure gives the simulated powder XRD pattern in this record (Cu Kα).

Most intense lines, 10° ≤ 2θ ≤ 80°, by angle:
- 26.3 deg, I = 33
- 29.9 deg, I = 100
- 32.4 deg, I = 13
- 35.1 deg, I = 25
- 35.7 deg, I = 33
- 43.6 deg, I = 14
- 49.0 deg, I = 29
- 51.4 deg, I = 20
- 55.3 deg, I = 14
- 60.6 deg, I = 28

Cell and atoms:
```
NaPaGe2O7
1.0
3.5579 0.0000 0.0000
0.0000 3.5579 0.0000
0.0000 0.0000 11.0563
Na Pa Ge O
1 1 2 7
direct
0.0000 0.0000 0.0000
0.0000 0.0000 0.5000
0.5000 0.5000 0.2747
0.5000 0.5000 0.7253
0.0000 0.5000 0.3451
0.0000 0.5000 0.6549
0.5000 0.0000 0.3451
0.5000 0.0000 0.6549
0.5000 0.5000 0.1224
0.5000 0.5000 0.5000
0.5000 0.5000 0.8776
```

---

For Tb2Pm2Ga3, a PBE-relaxed structure gives the simulated powder XRD pattern in this record (Cu Kα).

Most intense lines, 10° ≤ 2θ ≤ 80°, by angle:
- 25.2 deg, I = 18
- 32.8 deg, I = 12
- 33.7 deg, I = 100
- 33.8 deg, I = 45
- 35.1 deg, I = 93
- 35.7 deg, I = 41
- 47.8 deg, I = 13
- 48.9 deg, I = 19
- 60.8 deg, I = 16
- 62.0 deg, I = 29

Cell and atoms:
```
Tb2Pm2Ga3
1.0
5.7020 -1.8625 0.0000
5.7020 1.8625 0.0000
-0.3872 0.0000 8.2124
Tb Pm Ga
2 2 3
direct
0.0588 0.0588 0.1967
0.9412 0.9412 0.8033
0.2037 0.2037 0.6659
0.7963 0.7963 0.3341
0.3313 0.3313 0.0408
0.5000 0.5000 0.5000
0.6687 0.6687 0.9592
```

---

For LiAg6Pd3, a PBE-relaxed structure gives the simulated powder XRD pattern in this record (Cu Kα).

Most intense lines, 10° ≤ 2θ ≤ 80°, by angle:
- 14.0 deg, I = 12
- 21.7 deg, I = 15
- 36.7 deg, I = 16
- 38.5 deg, I = 70
- 40.2 deg, I = 66
- 41.2 deg, I = 100
- 42.1 deg, I = 16
- 58.1 deg, I = 15
- 59.6 deg, I = 15
- 73.7 deg, I = 17

Cell and atoms:
```
LiAg6Pd3
1.0
4.4891 0.0000 0.0000
0.0000 9.3048 0.0000
-4.4811 0.0000 8.5862
Li Ag Pd
2 12 6
direct
0.0000 0.0000 0.0000
0.0000 0.5000 0.5000
0.0588 0.1801 0.5557
0.0588 0.3199 0.0557
0.2361 0.6565 0.7413
0.2361 0.8435 0.2413
0.4513 0.1845 0.9476
0.4513 0.3155 0.4476
0.5487 0.6845 0.5524
0.5487 0.8155 0.0524
0.7639 0.1565 0.7587
0.7639 0.3435 0.2587
0.9412 0.6801 0.9443
0.9412 0.8199 0.4443
0.2616 0.5516 0.2509
0.2616 0.9484 0.7509
0.5000 0.0000 0.5000
0.5000 0.5000 0.0000
0.7384 0.0516 0.2491
0.7384 0.4484 0.7491
```

---

For Cs2Tl4Hg9, a PBE-relaxed structure gives the simulated powder XRD pattern in this record (Cu Kα).

Most intense lines, 10° ≤ 2θ ≤ 80°, by angle:
- 28.3 deg, I = 37
- 31.5 deg, I = 48
- 33.7 deg, I = 100
- 35.0 deg, I = 16
- 38.6 deg, I = 12
- 46.8 deg, I = 16
- 58.9 deg, I = 17
- 59.1 deg, I = 12
- 60.2 deg, I = 19
- 70.8 deg, I = 12

Cell and atoms:
```
Cs2Tl4Hg9
1.0
5.3225 0.0000 0.0000
-2.6613 4.6095 0.0000
0.0000 0.0000 21.6172
Cs Tl Hg
2 4 9
direct
0.3333 0.6667 0.2598
0.6667 0.3333 0.7402
0.3333 0.6667 0.5873
0.3333 0.6667 0.8954
0.6667 0.3333 0.1046
0.6667 0.3333 0.4127
0.0000 0.0000 0.0000
0.0000 0.0000 0.1553
0.0000 0.0000 0.3696
0.0000 0.0000 0.6304
0.0000 0.0000 0.8447
0.3333 0.6667 0.0528
0.3333 0.6667 0.4447
0.6667 0.3333 0.5553
0.6667 0.3333 0.9472
```

---

For Mg4CdAu5, a PBE-relaxed structure gives the simulated powder XRD pattern in this record (Cu Kα).

Most intense lines, 10° ≤ 2θ ≤ 80°, by angle:
- 26.6 deg, I = 54
- 27.3 deg, I = 24
- 38.0 deg, I = 54
- 38.5 deg, I = 100
- 47.4 deg, I = 23
- 54.8 deg, I = 19
- 61.9 deg, I = 11
- 62.3 deg, I = 11
- 68.9 deg, I = 37
- 70.0 deg, I = 16

Cell and atoms:
```
Mg4CdAu5
1.0
3.3527 0.0000 0.0000
0.0000 3.3527 0.0000
0.0000 0.0000 16.3188
Mg Cd Au
4 1 5
direct
0.0000 0.0000 0.0986
0.0000 0.0000 0.2962
0.0000 0.0000 0.7038
0.0000 0.0000 0.9014
0.0000 0.0000 0.5000
0.5000 0.5000 0.0000
0.5000 0.5000 0.1971
0.5000 0.5000 0.3902
0.5000 0.5000 0.6098
0.5000 0.5000 0.8029
```